Theoretical X-ray powder pattern of Ho3AlNi8 for Cu Kα (weighted mean of Kα1 and Kα2), from the GGA-PBE geometry in Alexandria.

The 10 most intense peaks (2θ from 10° to 90°), sorted by position:
- 34.71 deg, intensity 99
- 35.56 deg, intensity 62
- 41.29 deg, intensity 22
- 41.69 deg, intensity 49
- 42.32 deg, intensity 100
- 44.76 deg, intensity 48
- 63.32 deg, intensity 34
- 68.51 deg, intensity 23
- 69.49 deg, intensity 21
- 75.28 deg, intensity 26

a b c (Å): 5.049 5.049 16.019
angles (deg): 90.00 90.00 120.00
Fractional positions:
Ho: 0.333 0.667 0.045
Ho: 0.333 0.667 0.250
Ho: 0.333 0.667 0.455
Ho: 0.667 0.333 0.545
Ho: 0.667 0.333 0.750
Ho: 0.667 0.333 0.955
Al: 0.000 0.000 0.000
Al: 0.000 0.000 0.500
Ni: 0.000 0.000 0.250
Ni: 0.000 0.000 0.750
Ni: 0.169 0.338 0.625
Ni: 0.169 0.338 0.875
Ni: 0.169 0.831 0.625
Ni: 0.169 0.831 0.875
Ni: 0.333 0.667 0.750
Ni: 0.338 0.169 0.125
Ni: 0.338 0.169 0.375
Ni: 0.662 0.831 0.625
Ni: 0.662 0.831 0.875
Ni: 0.667 0.333 0.250
Ni: 0.831 0.169 0.125
Ni: 0.831 0.169 0.375
Ni: 0.831 0.662 0.125
Ni: 0.831 0.662 0.375

***

Theoretical X-ray powder pattern of HoAl2Ni for Cu Kα (weighted mean of Kα1 and Kα2), from the GGA-PBE geometry in Alexandria.

The 10 most intense peaks (2θ from 10° to 90°), sorted by position:
- 12.12 deg, intensity 30
- 24.37 deg, intensity 41
- 29.29 deg, intensity 44
- 31.81 deg, intensity 33
- 38.46 deg, intensity 100
- 41.90 deg, intensity 44
- 49.07 deg, intensity 25
- 58.96 deg, intensity 21
- 60.76 deg, intensity 14
- 74.25 deg, intensity 28

a b c (Å): 3.049 3.049 7.304
angles (deg): 90.00 90.00 90.00
Fractional positions:
Ho: 0.000 0.000 0.000
Al: 0.500 0.500 0.312
Al: 0.500 0.500 0.688
Ni: 0.000 0.000 0.500

***

Theoretical X-ray powder pattern of Ho2Al3Ni4 for Cu Kα (weighted mean of Kα1 and Kα2), from the GGA-PBE geometry in Alexandria.

The 10 most intense peaks (2θ from 10° to 90°), sorted by position:
- 21.62 deg, intensity 43
- 23.41 deg, intensity 43
- 35.58 deg, intensity 52
- 36.28 deg, intensity 100
- 37.47 deg, intensity 51
- 40.81 deg, intensity 27
- 41.06 deg, intensity 50
- 42.35 deg, intensity 54
- 52.58 deg, intensity 27
- 61.00 deg, intensity 32

a b c (Å): 8.071 8.071 6.889
angles (deg): 90.00 90.00 140.62
Fractional positions:
Ho: 0.104 0.896 0.914
Ho: 0.396 0.604 0.414
Ho: 0.604 0.396 0.586
Ho: 0.896 0.104 0.086
Al: 0.000 0.000 0.500
Al: 0.016 0.484 0.750
Al: 0.484 0.016 0.250
Al: 0.500 0.500 0.000
Al: 0.516 0.984 0.750
Al: 0.984 0.516 0.250
Ni: 0.170 0.830 0.513
Ni: 0.179 0.321 0.750
Ni: 0.321 0.179 0.250
Ni: 0.330 0.670 0.013
Ni: 0.670 0.330 0.987
Ni: 0.679 0.821 0.750
Ni: 0.821 0.679 0.250
Ni: 0.830 0.170 0.487

***

Theoretical X-ray powder pattern of HoAlNi for Cu Kα (weighted mean of Kα1 and Kα2), from the GGA-PBE geometry in Alexandria.

The 10 most intense peaks (2θ from 10° to 90°), sorted by position:
- 19.11 deg, intensity 21
- 19.25 deg, intensity 19
- 28.61 deg, intensity 34
- 33.33 deg, intensity 29
- 33.58 deg, intensity 43
- 37.40 deg, intensity 100
- 39.76 deg, intensity 28
- 39.98 deg, intensity 70
- 40.28 deg, intensity 37
- 68.76 deg, intensity 18

a b c (Å): 8.438 5.338 5.338
angles (deg): 60.48 90.00 90.00
Fractional positions:
Ho: 0.177 0.000 0.000
Ho: 0.294 0.663 0.663
Ho: 0.706 0.663 0.663
Ho: 0.823 0.000 0.000
Al: 0.239 0.326 0.326
Al: 0.500 0.162 0.671
Al: 0.500 0.671 0.162
Al: 0.761 0.326 0.326
Ni: 0.000 0.495 0.495
Ni: 0.000 0.498 0.992
Ni: 0.000 0.992 0.498
Ni: 0.500 0.162 0.162

***

Theoretical X-ray powder pattern of HoAlSi2Ni5 for Cu Kα (weighted mean of Kα1 and Kα2), from the GGA-PBE geometry in Alexandria.

The 10 most intense peaks (2θ from 10° to 90°), sorted by position:
- 11.50 deg, intensity 64
- 24.85 deg, intensity 15
- 32.10 deg, intensity 14
- 33.40 deg, intensity 13
- 39.23 deg, intensity 100
- 44.77 deg, intensity 45
- 47.61 deg, intensity 23
- 65.18 deg, intensity 14
- 67.14 deg, intensity 16
- 78.79 deg, intensity 24

a b c (Å): 4.048 4.048 7.692
angles (deg): 90.00 90.00 90.00
Fractional positions:
Ho: 0.000 0.000 0.000
Al: 0.000 0.000 0.500
Si: 0.500 0.500 0.353
Si: 0.500 0.500 0.647
Ni: 0.000 0.500 0.237
Ni: 0.000 0.500 0.763
Ni: 0.500 0.000 0.237
Ni: 0.500 0.000 0.763
Ni: 0.500 0.500 0.000